Structure and theoretical PXRD pattern of In2AgSe3Br (a crystal structure in the Materials Project, relaxed with GGA-PBE; Cu Kα (λ = 1.5418 Å)).

abc: 8.145 8.145 8.145
angles: 60.84 60.84 60.84
Atoms (fractional coordinates):
In (0.000, 0.000, 0.000)
In (0.000, 0.000, 0.500)
In (0.000, 0.500, 0.000)
In (0.500, 0.000, 0.000)
Ag (0.408, 0.408, 0.408)
Ag (0.592, 0.592, 0.592)
Se (0.213, 0.759, 0.759)
Se (0.241, 0.241, 0.787)
Se (0.241, 0.787, 0.241)
Se (0.759, 0.213, 0.759)
Se (0.759, 0.759, 0.213)
Se (0.787, 0.241, 0.241)
Br (0.256, 0.256, 0.256)
Br (0.744, 0.744, 0.744)

Most intense lines, 10° ≤ 2θ ≤ 90°, most intense first:
| d [Å] | Rel. int. |
| --- | --- |
| 2.897 | 100 |
| 2.062 | 70 |
| 2.036 | 44 |
| 3.498 | 35 |
| 3.515 | 32 |
| 2.231 | 28 |

Structure and theoretical PXRD pattern of CoPSe (a crystal structure in the Materials Project, relaxed with GGA-PBE; Cu Kα (λ = 1.5418 Å)).

abc: 5.600 5.683 11.233
angles: 90.00 90.00 90.00
Atoms (fractional coordinates):
Co (0.014, 0.179, 0.120)
Co (0.014, 0.321, 0.620)
Co (0.486, 0.679, 0.120)
Co (0.486, 0.821, 0.620)
Co (0.514, 0.179, 0.380)
Co (0.514, 0.321, 0.880)
Co (0.986, 0.679, 0.380)
Co (0.986, 0.821, 0.880)
P (0.128, 0.679, 0.564)
P (0.128, 0.821, 0.064)
P (0.372, 0.179, 0.564)
P (0.372, 0.321, 0.064)
P (0.628, 0.679, 0.936)
P (0.628, 0.821, 0.436)
P (0.872, 0.179, 0.936)
P (0.872, 0.321, 0.436)
Se (0.119, 0.070, 0.323)
Se (0.119, 0.430, 0.823)
Se (0.381, 0.570, 0.323)
Se (0.381, 0.930, 0.823)
Se (0.619, 0.070, 0.177)
Se (0.619, 0.430, 0.677)
Se (0.881, 0.570, 0.177)
Se (0.881, 0.930, 0.677)

Most intense lines, 10° ≤ 2θ ≤ 90°, most intense first:
| d [Å] | Rel. int. |
| --- | --- |
| 2.451 | 100 |
| 2.755 | 81 |
| 2.805 | 80 |
| 2.510 | 59 |
| 1.691 | 42 |
| 1.957 | 40 |

Structure and theoretical PXRD pattern of P2Pt5 (a crystal structure in the Materials Project, relaxed with GGA-PBE; Cu Kα (λ = 1.5418 Å)).

abc: 6.121 6.121 7.527
angles: 98.48 98.48 52.86
Atoms (fractional coordinates):
P (0.065, 0.253, 0.276)
P (0.253, 0.065, 0.776)
P (0.747, 0.935, 0.224)
P (0.935, 0.747, 0.724)
Pt (0.107, 0.655, 0.033)
Pt (0.130, 0.581, 0.405)
Pt (0.345, 0.893, 0.467)
Pt (0.388, 0.612, 0.750)
Pt (0.419, 0.870, 0.095)
Pt (0.581, 0.130, 0.905)
Pt (0.612, 0.388, 0.250)
Pt (0.655, 0.107, 0.533)
Pt (0.870, 0.419, 0.595)
Pt (0.893, 0.345, 0.967)

Most intense lines, 10° ≤ 2θ ≤ 90°, most intense first:
| d [Å] | Rel. int. |
| --- | --- |
| 2.275 | 100 |
| 1.793 | 61 |
| 2.662 | 57 |
| 2.725 | 57 |
| 2.380 | 55 |
| 1.919 | 45 |

Structure and theoretical PXRD pattern of Na3Fe2Se4 (a crystal structure in the Materials Project, relaxed with GGA-PBE; Cu Kα (λ = 1.5418 Å)).

abc: 6.976 10.835 11.261
angles: 90.00 90.00 90.00
Atoms (fractional coordinates):
Na (0.051, 0.081, 0.141)
Na (0.051, 0.419, 0.141)
Na (0.075, 0.250, 0.756)
Na (0.425, 0.750, 0.256)
Na (0.449, 0.581, 0.641)
Na (0.449, 0.919, 0.641)
Na (0.551, 0.081, 0.359)
Na (0.551, 0.419, 0.359)
Na (0.575, 0.250, 0.744)
Na (0.925, 0.750, 0.244)
Na (0.949, 0.581, 0.859)
Na (0.949, 0.919, 0.859)
Fe (0.046, 0.127, 0.471)
Fe (0.046, 0.373, 0.471)
Fe (0.454, 0.627, 0.971)
Fe (0.454, 0.873, 0.971)
Fe (0.546, 0.127, 0.029)
Fe (0.546, 0.373, 0.029)
Fe (0.954, 0.627, 0.529)
Fe (0.954, 0.873, 0.529)
Se (0.121, 0.750, 0.671)
Se (0.172, 0.555, 0.377)
Se (0.172, 0.945, 0.377)
Se (0.187, 0.750, 0.039)
Se (0.313, 0.250, 0.539)
Se (0.328, 0.055, 0.877)
Se (0.328, 0.445, 0.877)
Se (0.379, 0.250, 0.171)
Se (0.621, 0.750, 0.829)
Se (0.672, 0.555, 0.123)
Se (0.672, 0.945, 0.123)
Se (0.687, 0.750, 0.461)
Se (0.813, 0.250, 0.961)
Se (0.828, 0.055, 0.623)
Se (0.828, 0.445, 0.623)
Se (0.879, 0.250, 0.329)

Most intense lines, 10° ≤ 2θ ≤ 90°, most intense first:
| d [Å] | Rel. int. |
| --- | --- |
| 5.930 | 100 |
| 3.407 | 94 |
| 3.162 | 70 |
| 2.838 | 45 |
| 2.787 | 37 |
| 3.085 | 31 |

Structure and theoretical PXRD pattern of ZnCuSi2O6 (a crystal structure in the Materials Project, relaxed with GGA-PBE; Cu Kα (λ = 1.5418 Å)).

abc: 6.902 6.902 5.294
angles: 106.23 106.23 86.50
Atoms (fractional coordinates):
Zn (0.238, 0.762, 0.750)
Zn (0.762, 0.238, 0.250)
Cu (0.108, 0.892, 0.250)
Cu (0.892, 0.108, 0.750)
Si (0.212, 0.383, 0.254)
Si (0.383, 0.212, 0.754)
Si (0.617, 0.788, 0.246)
Si (0.788, 0.617, 0.746)
O (0.026, 0.212, 0.131)
O (0.143, 0.611, 0.373)
O (0.212, 0.026, 0.631)
O (0.316, 0.375, 0.007)
O (0.375, 0.316, 0.507)
O (0.389, 0.857, 0.127)
O (0.611, 0.143, 0.873)
O (0.625, 0.684, 0.493)
O (0.684, 0.625, 0.993)
O (0.788, 0.974, 0.369)
O (0.857, 0.389, 0.627)
O (0.974, 0.788, 0.869)

Most intense lines, 10° ≤ 2θ ≤ 90°, most intense first:
| d [Å] | Rel. int. |
| --- | --- |
| 2.700 | 100 |
| 3.176 | 80 |
| 2.942 | 67 |
| 6.626 | 64 |
| 2.446 | 63 |
| 3.313 | 57 |

Structure and theoretical PXRD pattern of CeNi4B (a crystal structure in the Materials Project, relaxed with GGA-PBE; Cu Kα (λ = 1.5418 Å)).

abc: 4.995 4.995 7.034
angles: 90.00 90.00 120.00
Atoms (fractional coordinates):
Ce (0.000, 0.000, 0.000)
Ce (0.000, 0.000, 0.500)
Ni (0.000, 0.500, 0.208)
Ni (0.000, 0.500, 0.792)
Ni (0.333, 0.667, 0.500)
Ni (0.500, 0.000, 0.208)
Ni (0.500, 0.000, 0.792)
Ni (0.500, 0.500, 0.208)
Ni (0.500, 0.500, 0.792)
Ni (0.667, 0.333, 0.500)
B (0.333, 0.667, 0.000)
B (0.667, 0.333, 0.000)

Most intense lines, 10° ≤ 2θ ≤ 90°, most intense first:
| d [Å] | Rel. int. |
| --- | --- |
| 2.036 | 100 |
| 2.729 | 83 |
| 2.163 | 75 |
| 2.497 | 28 |
| 1.483 | 25 |
| 1.334 | 24 |

Structure and theoretical PXRD pattern of Li2AlGaSi2H4O10 (a crystal structure in the Materials Project, relaxed with GGA-PBE; Cu Kα (λ = 1.5418 Å)).

abc: 8.319 5.053 10.605
angles: 90.00 90.06 90.00
Atoms (fractional coordinates):
Li (0.179, 0.000, 0.312)
Li (0.313, 0.998, 0.814)
Li (0.687, 0.498, 0.186)
Li (0.821, 0.500, 0.688)
Al (0.081, 0.493, 0.156)
Al (0.919, 0.993, 0.844)
Ga (0.418, 0.495, 0.655)
Ga (0.582, 0.995, 0.345)
Si (0.125, 0.492, 0.857)
Si (0.370, 0.493, 0.354)
Si (0.630, 0.993, 0.646)
Si (0.875, 0.992, 0.143)
H (0.039, 0.856, 0.518)
H (0.170, 0.087, 0.535)
H (0.330, 0.085, 0.038)
H (0.460, 0.856, 0.019)
H (0.540, 0.356, 0.981)
H (0.670, 0.585, 0.962)
H (0.830, 0.587, 0.465)
H (0.961, 0.356, 0.482)
O (0.039, 0.831, 0.186)
O (0.083, 0.020, 0.482)
O (0.101, 0.808, 0.824)
O (0.160, 0.436, 0.006)
O (0.220, 0.377, 0.269)
O (0.278, 0.373, 0.777)
O (0.329, 0.423, 0.501)
O (0.388, 0.812, 0.324)
O (0.415, 0.020, 0.983)
O (0.459, 0.849, 0.688)
O (0.541, 0.349, 0.312)
O (0.585, 0.520, 0.017)
O (0.612, 0.312, 0.676)
O (0.671, 0.923, 0.499)
O (0.722, 0.873, 0.223)
O (0.780, 0.877, 0.731)
O (0.840, 0.936, 0.994)
O (0.899, 0.308, 0.176)
O (0.917, 0.520, 0.518)
O (0.961, 0.331, 0.814)

Most intense lines, 10° ≤ 2θ ≤ 90°, most intense first:
| d [Å] | Rel. int. |
| --- | --- |
| 6.544 | 100 |
| 3.253 | 99 |
| 3.074 | 90 |
| 4.319 | 59 |
| 2.526 | 34 |
| 1.792 | 21 |